[1]
Calculated powder XRD pattern of ZnSb2O4 for CuKα, from a structure optimized by DFT (PBE).

Crystal structure
abc: 9.631 3.122 14.292
angles: 90.00 90.00 90.00
Space group Pnma (No. 62)
Inequivalent atoms, fractional coordinates:
Zn 0.245 0.250 0.128 [4 per cell]
Sb 0.066 0.250 0.354 [4 per cell]
Sb 0.075 0.250 0.878 [4 per cell]
O 0.039 0.750 0.789 [4 per cell]
O 0.103 0.250 0.631 [4 per cell]
O 0.123 0.750 0.079 [4 per cell]
O 0.173 0.750 0.284 [4 per cell]

Main lines, low angle first (2θ from 15° to 90°):
2θ = 24.92°, rel. 96.5, hkl 0 0 4
2θ = 30.53°, rel. 100.0, hkl 3 0 2
2θ = 32.65°, rel. 88.6, hkl 1 1 2
2θ = 34.23°, rel. 27.0, hkl 2 1 0
2θ = 42.81°, rel. 45.0, hkl 2 1 4
2θ = 49.02°, rel. 29.9, hkl 1 1 6

[2]
Calculated powder XRD pattern of AlCuPt2 for CuKα, from a structure optimized by DFT (PBE).

Crystal structure
abc: 4.001 4.001 3.529
angles: 90.00 90.00 90.00
Space group P4/mmm (No. 123)
Inequivalent atoms, fractional coordinates:
Al 0.000 0.000 0.000 [1 per cell]
Cu 0.500 0.500 0.000 [1 per cell]
Pt 0.000 0.500 0.500 [2 per cell]

Main lines, low angle first (2θ from 15° to 90°):
2θ = 25.24°, rel. 31.1, hkl 0 0 1
2θ = 31.62°, rel. 35.4, hkl 1 1 0
2θ = 40.88°, rel. 100.0, hkl 1 1 1
2θ = 45.33°, rel. 37.3, hkl 2 0 0
2θ = 71.27°, rel. 19.4, hkl 2 0 2
2θ = 80.67°, rel. 27.7, hkl 3 1 1

[3]
Calculated powder XRD pattern of Ga3Ag for CuKα, from a structure optimized by DFT (PBE).

Crystal structure
abc: 6.709 6.709 6.709
angles: 90.00 90.00 90.00
Space group Fm-3m (No. 225)
Inequivalent atoms, fractional coordinates:
Ga 0.000 0.000 0.000 [4 per cell]
Ga 0.250 0.250 0.250 [8 per cell]
Ag 0.000 0.000 0.500 [4 per cell]

Main lines, low angle first (2θ from 15° to 90°):
2θ = 22.96°, rel. 3.5, hkl 1 1 1
2θ = 26.57°, rel. 1.8, hkl 2 0 0
2θ = 37.93°, rel. 100.0, hkl 2 2 0
2θ = 54.73°, rel. 16.6, hkl 4 0 0
2θ = 68.52°, rel. 32.9, hkl 4 2 2
2θ = 81.09°, rel. 10.2, hkl 4 4 0

[4]
Calculated powder XRD pattern of LuTiO3 for CuKα, from a structure optimized by DFT (PBE).

Crystal structure
abc: 5.648 7.620 5.265
angles: 90.00 90.00 90.00
Space group Pnma (No. 62)
Inequivalent atoms, fractional coordinates:
Lu 0.073 0.250 0.022 [4 per cell]
Ti 0.000 0.000 0.500 [4 per cell]
O 0.057 0.750 0.365 [4 per cell]
O 0.192 0.563 0.817 [8 per cell]

Main lines, low angle first (2θ from 15° to 90°):
2θ = 23.10°, rel. 33.9, hkl 1 0 1
2θ = 25.92°, rel. 30.0, hkl 1 1 1
2θ = 33.07°, rel. 100.0, hkl 1 2 1
2θ = 34.06°, rel. 23.6, hkl 0 0 2
2θ = 53.04°, rel. 24.2, hkl 3 1 1
2θ = 60.33°, rel. 28.7, hkl 1 2 3